Record 1
Computed X-ray diffraction stick pattern of K2Ge2PbS6 for λ = 1.5418 Å (Cu Kα), from DFT lattice parameters and positions (GGA-PBE).
Neutral-atom scattering factors, no anomalous dispersion.

Structure:
```
data_K2Ge2PbS6
_chemical_formula_sum 'K8 Ge8 Pb4 S24'
_space_group_name_H-M_alt 'C 1 2/c 1'
_space_group_IT_number 15
_cell_length_a 9.4676
_cell_length_b 14.6140
_cell_length_c 9.1531
_cell_angle_alpha 90.00
_cell_angle_beta 90.08
_cell_angle_gamma 90.00
loop_
_space_group_symop_operation_xyz
'x,y,z'
'-x,-y,-z'
'-x,y,-z+1/2'
'x,-y,z+1/2'
'x+1/2,y+1/2,z'
'-x+1/2,-y+1/2,-z'
'-x+1/2,y+1/2,-z+1/2'
'x+1/2,-y+1/2,z+1/2'
loop_
_atom_site_label
_atom_site_type_symbol
_atom_site_fract_x
_atom_site_fract_y
_atom_site_fract_z
K1 K 0.0991 0.1372 0.0183
Ge1 Ge 0.1839 0.3399 0.5593
Pb1 Pb 0.0000 0.4887 0.2500
S1 S 0.0436 0.3671 0.9619
S2 S 0.2020 0.0482 0.3347
S3 S 0.2204 0.1991 0.6627
```

Largest 6 diffraction maxima, in order of falling intensity, 2θ from 10° to 90°:
d 7.946, 2θ = 11.1°, I 100; d 3.968, 2θ = 22.4°, I 60; d 2.855, 2θ = 31.3°, I 42; d 3.879, 2θ = 22.9°, I 33; d 3.146, 2θ = 28.4°, I 29; d 5.999, 2θ = 14.8°, I 28

=====

Record 2
Computed X-ray diffraction stick pattern of InAgO2 for λ = 1.5418 Å (Cu Kα), from DFT lattice parameters and positions (GGA-PBE).
Neutral-atom scattering factors, no anomalous dispersion.

Structure:
```
data_InAgO2
_chemical_formula_sum 'In2 Ag2 O4'
_space_group_name_H-M_alt 'P 63/m m c'
_space_group_IT_number 194
_space_group_name_Hall '-P 6c 2c'
_cell_length_a 3.3356
_cell_length_b 3.3356
_cell_length_c 12.8267
_cell_angle_alpha 90.00
_cell_angle_beta 90.00
_cell_angle_gamma 120.00
loop_
_atom_site_label
_atom_site_type_symbol
_atom_site_fract_x
_atom_site_fract_y
_atom_site_fract_z
In1 In 0.0000 0.0000 0.0000
Ag1 Ag 0.3333 0.6667 0.2500
O1 O 0.3333 0.6667 0.0851
```

Largest 6 diffraction maxima, in order of falling intensity, 2θ from 10° to 90°:
d 2.634, 2θ = 34.0°, I 100; d 2.818, 2θ = 31.8°, I 56; d 3.207, 2θ = 27.8°, I 46; d 1.718, 2θ = 53.3°, I 34; d 1.668, 2θ = 55.1°, I 29; d 1.480, 2θ = 62.8°, I 27

=====

Record 3
Computed X-ray diffraction stick pattern of SrPb2N2 for λ = 1.5418 Å (Cu Kα), from DFT lattice parameters and positions (GGA-PBE).
Neutral-atom scattering factors, no anomalous dispersion.

Structure:
```
data_SrPb2N2
_chemical_formula_sum 'Sr1 Pb2 N2'
_space_group_name_H-M_alt 'P -3 m 1'
_space_group_IT_number 164
_space_group_name_Hall '-P 3 2"'
_cell_length_a 3.6187
_cell_length_b 3.6187
_cell_length_c 9.5128
_cell_angle_alpha 90.00
_cell_angle_beta 90.00
_cell_angle_gamma 120.00
loop_
_atom_site_label
_atom_site_type_symbol
_atom_site_fract_x
_atom_site_fract_y
_atom_site_fract_z
Sr1 Sr 0.0000 0.0000 0.0000
Pb1 Pb 0.3333 0.6667 0.3063
N1 N 0.3333 0.6667 0.8286
```

Largest 6 diffraction maxima, in order of falling intensity, 2θ from 10° to 90°:
d 2.976, 2θ = 30.0°, I 100; d 2.617, 2θ = 34.3°, I 75; d 1.894, 2θ = 48.0°, I 33; d 3.171, 2θ = 28.1°, I 28; d 1.809, 2θ = 50.4°, I 27; d 4.756, 2θ = 18.7°, I 24